Entry 1:
The following is a simulated powder X-ray diffraction pattern of PmFe2RhO6. It was derived from a PBE+U-relaxed structure, using Cu Kα, 1.54184 Å.

Atomic structure:
Cell lengths 5.558, 5.558, 5.558 Å; angles 57.37, 57.37, 57.37 degrees
Sites, in units of the cell vectors:
Pm (0.000, 0.000, 0.000)
Fe (0.223, 0.223, 0.223)
Fe (0.735, 0.735, 0.735)
Rh (0.537, 0.537, 0.537)
O (0.104, 0.469, 0.841)
O (0.394, 0.948, 0.561)
O (0.469, 0.841, 0.104)
O (0.561, 0.394, 0.948)
O (0.841, 0.104, 0.469)
O (0.948, 0.561, 0.394)

Principal peaks in the range 2θ = 10–80°, in order of rising 2θ:
2θ = 23.13°, rel. 49
2θ = 32.27°, rel. 92
2θ = 33.59°, rel. 100
2θ = 47.27°, rel. 41
2θ = 52.35°, rel. 28
2θ = 59.23°, rel. 35
2θ = 60.06°, rel. 33
2θ = 70.58°, rel. 27

---

Entry 2:
The following is a simulated powder X-ray diffraction pattern of CoPO4. It was derived from a PBE+U-relaxed structure, using Cu Kα, 1.54184 Å.

Atomic structure:
Cell lengths 5.077, 5.077, 8.926 Å; angles 105.23, 105.23, 63.27 degrees
Sites, in units of the cell vectors:
Co (0.218, 0.782, 0.500)
Co (0.782, 0.218, 0.000)
P (0.412, 0.831, 0.871)
P (0.831, 0.412, 0.371)
O (0.081, 0.502, 0.364)
O (0.165, 0.948, 0.973)
O (0.296, 0.705, 0.702)
O (0.502, 0.081, 0.864)
O (0.583, 0.693, 0.446)
O (0.693, 0.583, 0.946)
O (0.705, 0.296, 0.202)
O (0.948, 0.165, 0.473)

Principal peaks in the range 2θ = 10–80°, in order of rising 2θ:
2θ = 20.87°, rel. 100
2θ = 21.61°, rel. 31
2θ = 33.66°, rel. 10
2θ = 34.55°, rel. 13
2θ = 34.74°, rel. 11
2θ = 35.42°, rel. 11
2θ = 40.36°, rel. 5
2θ = 54.40°, rel. 7